No. 1
Structure and simulated powder diffraction line list of LaZn3Ru3 (a PBE-relaxed structure; Cu Kα X-rays).
Kinematic intensities with the Lorentz-polarization factor, no thermal factor.

Crystal structure
```
LaZn3Ru3
1.0
6.746 0.000 0.000
0.000 6.746 0.000
0.000 0.000 6.746
La Zn Ru
2 6 6
Cartesian
0.000 0.000 0.000
3.373 3.373 3.373
0.000 1.686 3.373
0.000 5.059 3.373
1.686 3.373 0.000
3.373 0.000 1.686
3.373 0.000 5.059
5.059 3.373 0.000
0.000 3.373 1.686
0.000 3.373 5.059
1.686 0.000 3.373
3.373 1.686 0.000
3.373 5.059 0.000
5.059 0.000 3.373
```

Main lines, in order of rising 2θ (10° ≤ 2θ ≤ 90°):
d (Å)	2θ (°)	intensity
3.373	26.42	43
2.754	32.51	100
1.947	46.64	18
1.803	50.63	56
1.686	54.40	25
1.508	61.47	15
1.438	64.83	13
1.232	77.50	16
1.193	80.55	16
1.094	89.57	17



No. 2
Structure and simulated powder diffraction line list of CaHo2In2 (a PBE-relaxed structure; Cu Kα X-rays).
Kinematic intensities with the Lorentz-polarization factor, no thermal factor.

Crystal structure
```
CaHo2In2
1.0
3.720 0.000 0.000
0.000 5.403 0.000
-1.862 0.000 14.078
Ca Ho In
2 4 4
Cartesian
0.000 1.351 4.170
1.857 4.053 9.909
0.000 4.053 1.363
-0.001 4.053 6.585
1.858 1.351 7.493
1.857 1.351 12.716
-0.002 1.351 10.088
-0.003 4.053 12.713
1.861 1.351 1.365
1.859 4.053 3.991
```

Main lines, in order of rising 2θ (10° ≤ 2θ ≤ 90°):
d (Å)	2θ (°)	intensity
5.045	17.58	12
2.816	31.78	22
2.702	33.16	27
2.691	33.29	100
1.949	46.59	15
1.860	48.98	9
1.601	57.59	10
1.558	59.32	19
1.532	60.43	10
1.346	69.90	9



No. 3
Structure and simulated powder diffraction line list of Cs3Ge2I7 (a PBE-relaxed structure; Cu Kα X-rays).
Kinematic intensities with the Lorentz-polarization factor, no thermal factor.

Crystal structure
```
Cs3Ge2I7
1.0
3.011 -15.453 0.000
3.011 15.453 0.000
0.000 0.000 5.941
Cs Ge I
3 2 7
Cartesian
0.000 0.000 0.000
3.011 9.861 0.000
3.011 -9.861 0.000
3.011 3.135 2.971
3.011 -3.135 2.971
3.011 12.465 2.971
3.011 6.079 2.971
3.011 3.011 0.000
3.011 0.000 2.971
3.011 -3.011 0.000
3.011 -6.079 2.971
3.011 -12.465 2.971
```

Main lines, in order of rising 2θ (10° ≤ 2θ ≤ 90°):
d (Å)	2θ (°)	intensity
3.490	25.52	100
3.091	28.89	24
3.011	29.67	30
2.971	30.08	29
2.157	41.89	18
2.142	42.20	17
2.115	42.76	22
1.818	50.19	15
1.800	50.73	15
1.745	52.43	19